Ce4ErAs5: calculated X-ray powder pattern (Cu Kα X-rays), based on a structure optimized by DFT (GGA-PBE).
No peak broadening, texture or thermal motion is included.

Structural model:
Unit cell a=9.3682 b=9.3682 c=5.9304 alpha=90.00 beta=90.00 gamma=90.00
Space group I4/m (No. 87)
One atom of each set of equivalent atoms:
Ce 0.0988 0.7003 0.0000 x8
Er 0.0000 0.0000 0.5000 x2
As 0.0000 0.0000 0.0000 x2
As 0.0993 0.7037 0.5000 x8

Largest 10 diffraction maxima, by intensity, 2θ = 10–90°:
hkl 3 1 0, 2θ = 30.16°, intensity 100; hkl 3 1 2, 2θ = 43.17°, intensity 75; hkl 3 1 4, 2θ = 71.14°, intensity 34; hkl 2 4 2, 2θ = 53.56°, intensity 26; hkl 2 4 4, 2θ = 79.17°, intensity 25; hkl 1 2 1, 2θ = 26.04°, intensity 17; hkl 0 0 4, 2θ = 62.70°, intensity 12; hkl 5 0 1, 2θ = 51.11°, intensity 9; hkl 3 6 1, 2θ = 69.08°, intensity 4; hkl 8 1 1, 2θ = 85.05°, intensity 3

***

Ce2ErAs3: calculated X-ray powder pattern (Cu Kα X-rays), based on a structure optimized by DFT (GGA-PBE).
No peak broadening, texture or thermal motion is included.

Structural model:
Unit cell a=4.1724 b=5.9063 c=12.5086 alpha=90.00 beta=90.00 gamma=90.00
Space group Immm (No. 71)
One atom of each set of equivalent atoms:
Ce 0.0000 0.0000 0.1674 x4
Er 0.0000 0.0000 0.5000 x2
As 0.0000 0.5000 0.1632 x4
As 0.0000 0.5000 0.5000 x2

Largest 12 diffraction maxima, by intensity, 2θ = 10–90°:
hkl 1 0 3, 2θ = 30.29°, intensity 100; hkl 2 0 0, 2θ = 43.37°, intensity 75; hkl 3 0 3, 2θ = 71.49°, intensity 28; hkl 2 2 0, 2θ = 53.81°, intensity 26; hkl 3 2 3, 2θ = 79.58°, intensity 25; hkl 0 1 3, 2θ = 26.16°, intensity 19; hkl 0 4 0, 2θ = 63.01°, intensity 12; hkl 1 1 6, 2θ = 51.35°, intensity 9; hkl 1 0 9, 2θ = 71.56°, intensity 6; hkl 0 1 9, 2θ = 69.42°, intensity 4; hkl 2 1 9, 2θ = 85.54°, intensity 2; hkl 0 5 3, 2θ = 85.44°, intensity 1